The following is a calculated X-ray powder pattern of CdRhO3. It was derived from a cell relaxed with PBE, using copper Kα.

Principal peaks in the range 5 to 70 degrees two-theta, in order of rising 2θ:
| (hkl) | d (Å) | 2theta | I/Imax |
| --- | --- | --- | --- |
| 1 1 0 | 2.794 | 32.0 | 100 |
| 1 1 1 | 2.281 | 39.5 | 3 |
| 2 0 0 | 1.976 | 45.9 | 31 |
| 2 1 1 | 1.613 | 57.1 | 38 |
| 2 2 0 | 1.397 | 67.0 | 18 |

Cell and atoms:
```
CdRhO3
1.0
3.9516 0.0000 0.0000
0.0000 3.9516 0.0000
0.0000 0.0000 3.9516
Cd Rh O
1 1 3
Direct
0.0000 0.0000 0.0000 Cd
0.5000 0.5000 0.5000 Rh
0.0000 0.5000 0.5000 O
0.5000 0.0000 0.5000 O
0.5000 0.5000 0.0000 O
```